Structure and calculated powder diffractogram of Li2V3SnO8 (DFT lattice parameters and positions (GGA+U); Cu Ka).
Kinematic intensities with the Lorentz-polarization factor, no thermal factor.

Peak list (6 most intense, 2θ = 10–90°, in order of rising 2θ)
(0 0 2), 17.96 deg, d = 4.938 Å, rel. 100.0
(1 -1 1), 33.92 deg, d = 2.643 Å, rel. 20.5
(1 0 3), 34.50 deg, d = 2.600 Å, rel. 11.7
(-1 1 3), 34.62 deg, d = 2.591 Å, rel. 24.2
(2 0 2), 41.88 deg, d = 2.157 Å, rel. 34.0
(0 2 4), 41.95 deg, d = 2.154 Å, rel. 17.0

Structure:
```
data_Li2V3SnO8
_chemical_formula_sum 'Li4 V6 Sn2 O16'
_symmetry_space_group_name_H-M 'P -1'
_symmetry_Int_Tables_number 2
_symmetry_space_group_name_Hall '-P 1'
_cell_length_a 6.0140
_cell_length_b 6.1704
_cell_length_c 10.4468
_cell_angle_alpha 73.79
_cell_angle_beta 89.93
_cell_angle_gamma 60.86
loop_
_atom_site_label
_atom_site_type_symbol
_atom_site_fract_x
_atom_site_fract_y
_atom_site_fract_z
_atom_site_occupancy
Li1 Li 0.0630 0.3654 0.1881 1
Li2 Li 0.4280 0.6350 0.3121 1
V1 V 0.0000 0.0000 0.0000 1
V2 V 0.0000 0.0000 0.5000 1
V3 V 0.2552 0.9998 0.7502 1
V4 V 0.5000 0.0000 0.0000 1
V5 V 0.5000 0.0000 0.5000 1
Sn1 Sn 0.0000 0.5000 0.5000 1
Sn2 Sn 0.5000 0.5000 0.0000 1
O1 O 0.0927 0.7678 0.3798 1
O2 O 0.1408 0.7681 0.8786 1
O3 O 0.1425 0.2324 0.3909 1
O4 O 0.1646 0.2003 0.8875 1
O5 O 0.3637 0.8002 0.6123 1
O6 O 0.3686 0.2322 0.6175 1
O7 O 0.3727 0.7685 0.1089 1
O8 O 0.3975 0.2334 0.1165 1
```